Structure and simulated XRD peak list of Rb2CuPbBr5 (a DFT-relaxed cell (GGA-PBE, Alexandria); copper Kα).
Intensities are scaled so that the largest is 100.

```
Rb2CuPbBr5
1.0
2.200 -10.097 0.000
2.200 10.097 0.000
0.000 0.000 14.507
Rb Cu Pb Br
4 2 2 10
Direct
0.117 0.883 0.500 Rb
0.124 0.876 0.134 Rb
0.876 0.124 0.634 Rb
0.883 0.117 0.000 Rb
0.465 0.535 0.242 Cu
0.535 0.465 0.742 Cu
0.201 0.799 0.821 Pb
0.799 0.201 0.321 Pb
0.042 0.958 0.818 Br
0.297 0.703 0.468 Br
0.302 0.698 0.172 Br
0.347 0.653 0.818 Br
0.499 0.501 0.084 Br
0.501 0.499 0.584 Br
0.653 0.347 0.318 Br
0.698 0.302 0.672 Br
0.703 0.297 0.968 Br
0.958 0.042 0.318 Br
```

Principal peaks in the range 2θ = 10–90°, in order of rising 2θ:
- 10.68°, I = 14
- 12.20°, I = 17
- 15.04°, I = 16
- 27.20°, I = 55
- 27.77°, I = 100
- 32.53°, I = 39
- 37.76°, I = 14
- 39.16°, I = 13
- 41.04°, I = 32
- 45.14°, I = 19
- 49.11°, I = 12
- 49.92°, I = 20

Structure and simulated XRD peak list of Sr2HoPbO5 (a DFT-relaxed cell (GGA-PBE, Alexandria); copper Kα).
Intensities are scaled so that the largest is 100.

```
Sr2HoPbO5
1.0
1.761 -7.408 0.000
1.761 7.408 0.000
0.000 0.000 11.837
Sr Ho Pb O
4 2 2 10
Direct
0.130 0.870 0.500 Sr
0.132 0.868 0.018 Sr
0.868 0.132 0.518 Sr
0.870 0.130 0.000 Sr
0.239 0.761 0.776 Ho
0.761 0.239 0.276 Ho
0.495 0.505 0.250 Pb
0.505 0.495 0.750 Pb
0.084 0.916 0.805 O
0.266 0.734 0.150 O
0.280 0.720 0.407 O
0.378 0.622 0.846 O
0.491 0.509 0.563 O
0.509 0.491 0.063 O
0.622 0.378 0.346 O
0.720 0.280 0.907 O
0.734 0.266 0.650 O
0.916 0.084 0.305 O
```

Principal peaks in the range 2θ = 10–90°, in order of rising 2θ:
- 14.97°, I = 33
- 27.10°, I = 19
- 28.43°, I = 99
- 30.17°, I = 100
- 31.20°, I = 42
- 34.69°, I = 25
- 43.97°, I = 36
- 51.94°, I = 14
- 52.56°, I = 19
- 52.78°, I = 27
- 53.61°, I = 15
- 60.27°, I = 25

Structure and simulated XRD peak list of CsTl10Bi3 (a DFT-relaxed cell (GGA-PBE, Alexandria); copper Kα).
Intensities are scaled so that the largest is 100.

```
CsTl10Bi3
1.0
0.000 8.196 8.196
8.196 0.000 8.196
8.196 8.196 0.000
Cs Tl Bi
2 20 6
Direct
0.250 0.250 0.250 Cs
0.750 0.750 0.750 Cs
0.000 0.000 0.355 Tl
0.000 0.000 0.645 Tl
0.000 0.355 0.000 Tl
0.000 0.355 0.645 Tl
0.000 0.645 0.000 Tl
0.000 0.645 0.355 Tl
0.148 0.617 0.617 Tl
0.355 0.000 0.000 Tl
0.355 0.000 0.645 Tl
0.355 0.645 0.000 Tl
0.383 0.383 0.383 Tl
0.383 0.383 0.852 Tl
0.383 0.852 0.383 Tl
0.617 0.148 0.617 Tl
0.617 0.617 0.148 Tl
0.617 0.617 0.617 Tl
0.645 0.000 0.000 Tl
0.645 0.000 0.355 Tl
0.645 0.355 0.000 Tl
0.852 0.383 0.383 Tl
0.270 0.270 0.730 Bi
0.270 0.730 0.270 Bi
0.270 0.730 0.730 Bi
0.730 0.270 0.270 Bi
0.730 0.270 0.730 Bi
0.730 0.730 0.270 Bi
```

Principal peaks in the range 2θ = 10–90°, in order of rising 2θ:
- 15.29°, I = 30
- 28.29°, I = 100
- 30.86°, I = 61
- 32.31°, I = 65
- 32.78°, I = 21
- 36.36°, I = 46
- 47.04°, I = 20
- 50.74°, I = 19
- 54.88°, I = 34
- 60.58°, I = 16
- 65.13°, I = 18
- 75.90°, I = 15

Structure and simulated XRD peak list of Sc2PRh6 (a DFT-relaxed cell (GGA-PBE, Alexandria); copper Kα).
Intensities are scaled so that the largest is 100.

```
Sc2PRh6
1.0
-2.919 2.919 4.114
2.919 -2.919 4.114
2.919 2.919 -4.114
Sc P Rh
2 1 6
Direct
0.250 0.750 0.500 Sc
0.750 0.250 0.500 Sc
0.000 0.000 0.000 P
0.267 0.267 0.000 Rh
0.267 0.267 0.533 Rh
0.267 0.733 0.000 Rh
0.733 0.267 0.000 Rh
0.733 0.733 0.000 Rh
0.733 0.733 0.467 Rh
```

Principal peaks in the range 2θ = 10–90°, in order of rising 2θ:
- 21.55°, I = 17
- 37.79°, I = 100
- 43.86°, I = 38
- 44.03°, I = 19
- 48.10°, I = 6
- 49.38°, I = 4
- 58.10°, I = 5
- 63.77°, I = 11
- 63.90°, I = 23
- 76.57°, I = 21
- 76.80°, I = 11
- 80.74°, I = 11

Structure and simulated XRD peak list of CaCd8Pd4 (a DFT-relaxed cell (GGA-PBE, Alexandria); copper Kα).
Intensities are scaled so that the largest is 100.

```
CaCd8Pd4
1.0
-4.794 4.794 2.886
4.794 -4.794 2.886
4.794 4.794 -2.886
Ca Cd Pd
1 8 4
Direct
0.000 0.000 0.000 Ca
0.000 0.336 0.336 Cd
0.000 0.664 0.664 Cd
0.280 0.500 0.780 Cd
0.336 0.000 0.336 Cd
0.500 0.280 0.780 Cd
0.500 0.720 0.220 Cd
0.664 0.000 0.664 Cd
0.720 0.500 0.220 Cd
0.000 0.000 0.500 Pd
0.000 0.500 0.000 Pd
0.500 0.000 0.000 Pd
0.500 0.500 0.500 Pd
```

Principal peaks in the range 2θ = 10–90°, in order of rising 2θ:
- 18.51°, I = 24
- 30.98°, I = 14
- 32.01°, I = 29
- 36.33°, I = 50
- 37.23°, I = 62
- 37.52°, I = 57
- 41.07°, I = 100
- 41.88°, I = 30
- 42.15°, I = 39
- 59.28°, I = 15
- 66.93°, I = 24
- 67.51°, I = 21

Structure and simulated XRD peak list of Tb3Al9Pt2 (a DFT-relaxed cell (GGA-PBE, Alexandria); copper Kα).
Intensities are scaled so that the largest is 100.

```
Tb3Al9Pt2
1.0
-2.133 5.030 6.176
2.133 -5.030 6.176
2.133 5.030 -6.176
Tb Al Pt
3 9 2
Direct
0.000 0.000 0.000 Tb
0.312 0.312 0.000 Tb
0.688 0.688 0.000 Tb
0.030 0.661 0.369 Al
0.155 0.873 0.282 Al
0.291 0.661 0.631 Al
0.408 0.127 0.282 Al
0.500 0.000 0.500 Al
0.592 0.873 0.718 Al
0.709 0.339 0.369 Al
0.845 0.127 0.718 Al
0.970 0.339 0.631 Al
0.289 0.500 0.789 Pt
0.711 0.500 0.211 Pt
```

Principal peaks in the range 2θ = 10–90°, in order of rising 2θ:
- 14.34°, I = 24
- 22.04°, I = 19
- 22.64°, I = 38
- 22.80°, I = 27
- 28.37°, I = 26
- 34.50°, I = 35
- 35.15°, I = 100
- 35.70°, I = 14
- 37.06°, I = 27
- 42.33°, I = 38
- 50.13°, I = 15
- 55.74°, I = 18

Structure and simulated XRD peak list of Ce3CuSnSe7 (a DFT-relaxed cell (GGA-PBE, Alexandria); copper Kα).
Intensities are scaled so that the largest is 100.

```
Ce3CuSnSe7
1.0
10.360 0.000 0.000
-5.180 8.972 0.000
0.000 0.000 6.760
Ce Cu Sn Se
6 2 2 14
Direct
0.157 0.364 0.000 Ce
0.208 0.843 0.000 Ce
0.364 0.208 0.500 Ce
0.636 0.792 0.000 Ce
0.792 0.157 0.500 Ce
0.843 0.636 0.500 Ce
0.000 0.000 0.399 Cu
0.000 0.000 0.899 Cu
0.333 0.667 0.571 Sn
0.667 0.333 0.071 Sn
0.075 0.556 0.750 Se
0.116 0.261 0.428 Se
0.145 0.884 0.428 Se
0.261 0.145 0.928 Se
0.333 0.667 0.176 Se
0.444 0.519 0.750 Se
0.481 0.925 0.750 Se
0.519 0.075 0.250 Se
0.556 0.481 0.250 Se
0.667 0.333 0.676 Se
0.739 0.855 0.428 Se
0.855 0.116 0.928 Se
0.884 0.739 0.928 Se
0.925 0.444 0.250 Se
```

Principal peaks in the range 2θ = 10–90°, in order of rising 2θ:
- 23.81°, I = 53
- 26.35°, I = 19
- 28.22°, I = 43
- 29.47°, I = 44
- 32.75°, I = 37
- 33.19°, I = 65
- 34.63°, I = 100
- 37.57°, I = 26
- 44.04°, I = 22
- 45.02°, I = 34
- 48.40°, I = 17
- 52.02°, I = 19

Structure and simulated XRD peak list of Ac8CuPt4 (a DFT-relaxed cell (GGA-PBE, Alexandria); copper Kα).
Intensities are scaled so that the largest is 100.

```
Ac8CuPt4
1.0
10.816 -2.242 0.000
10.816 2.242 0.000
-9.568 0.000 11.030
Ac Cu Pt
8 1 4
Direct
0.000 0.000 0.000 Ac
0.029 0.029 0.748 Ac
0.073 0.073 0.482 Ac
0.320 0.320 0.670 Ac
0.400 0.400 0.138 Ac
0.648 0.648 0.330 Ac
0.692 0.692 0.068 Ac
0.732 0.732 0.822 Ac
0.190 0.190 0.222 Cu
0.021 0.021 0.233 Pt
0.213 0.213 0.943 Pt
0.506 0.506 0.861 Pt
0.697 0.697 0.581 Pt
```

Principal peaks in the range 2θ = 10–90°, in order of rising 2θ:
- 10.83°, I = 61
- 12.13°, I = 56
- 25.74°, I = 88
- 26.49°, I = 41
- 27.04°, I = 100
- 27.82°, I = 46
- 30.34°, I = 52
- 30.98°, I = 25
- 32.21°, I = 45
- 36.42°, I = 46
- 40.23°, I = 51
- 41.79°, I = 93